# 1
Computed powder XRD pattern of Ho2Co7B3 for Cu Kα, from the PBE geometry in OQMD.
Kinematic intensities with the Lorentz-polarization factor, no thermal factor.

Most intense lines, 2θ = 10–80°, in order of falling intensity:
34.89 deg, intensity 100
41.69 deg, intensity 89
46.08 deg, intensity 80
63.87 deg, intensity 34
20.50 deg, intensity 29
35.90 deg, intensity 26

Structural model:
```
Ho2Co7B3
1.0
5.003 0.000 0.000
-2.501 4.333 0.000
0.000 0.000 12.782
Ho Co B
4 14 6
direct
0.000 0.000 0.000
0.000 0.000 0.239
0.000 0.000 0.500
0.000 0.000 0.761
0.000 0.500 0.116
0.000 0.500 0.345
0.000 0.500 0.655
0.000 0.500 0.884
0.333 0.667 0.500
0.500 0.000 0.116
0.500 0.000 0.345
0.500 0.000 0.655
0.500 0.000 0.884
0.500 0.500 0.116
0.500 0.500 0.345
0.500 0.500 0.655
0.500 0.500 0.884
0.667 0.333 0.500
0.333 0.667 0.000
0.333 0.667 0.232
0.333 0.667 0.768
0.667 0.333 0.000
0.667 0.333 0.232
0.667 0.333 0.768
```

---

# 2
Computed powder XRD pattern of B3W4C2 for Cu Kα, from the PBE geometry in OQMD.
Kinematic intensities with the Lorentz-polarization factor, no thermal factor.

Most intense lines, 2θ = 10–80°, in order of falling intensity:
34.97 deg, intensity 100
41.07 deg, intensity 56
35.89 deg, intensity 39
42.81 deg, intensity 36
70.15 deg, intensity 30
38.82 deg, intensity 28

Structural model:
```
B3W4C2
1.0
1.574 -18.557 0.000
1.574 18.557 0.000
0.000 0.000 3.080
B W C
6 8 4
direct
0.012 0.988 0.750
0.061 0.939 0.750
0.087 0.913 0.250
0.913 0.087 0.750
0.939 0.061 0.250
0.988 0.012 0.250
0.160 0.840 0.250
0.277 0.723 0.250
0.394 0.606 0.250
0.463 0.537 0.750
0.537 0.463 0.250
0.606 0.394 0.750
0.723 0.277 0.750
0.840 0.160 0.750
0.218 0.782 0.250
0.337 0.663 0.250
0.663 0.337 0.750
0.782 0.218 0.750
```

---

# 3
Computed powder XRD pattern of B2OsW2 for Cu Kα, from the PBE geometry in OQMD.
Kinematic intensities with the Lorentz-polarization factor, no thermal factor.

Most intense lines, 2θ = 10–80°, in order of falling intensity:
42.10 deg, intensity 100
40.17 deg, intensity 47
37.16 deg, intensity 45
31.30 deg, intensity 28
32.67 deg, intensity 17
42.25 deg, intensity 16

Structural model:
```
B2OsW2
1.0
7.603 0.000 0.000
0.000 9.677 0.000
0.000 0.000 3.084
B Os W
8 4 8
direct
0.114 0.040 0.000
0.122 0.232 0.000
0.378 0.732 0.500
0.386 0.540 0.500
0.614 0.460 0.500
0.622 0.268 0.500
0.878 0.768 0.000
0.886 0.960 0.000
0.117 0.393 0.500
0.383 0.893 0.000
0.617 0.107 0.000
0.883 0.607 0.500
0.075 0.861 0.500
0.194 0.631 0.000
0.306 0.131 0.500
0.425 0.361 0.000
0.575 0.639 0.000
0.694 0.869 0.500
0.806 0.369 0.000
0.925 0.139 0.500
```

---

# 4
Computed powder XRD pattern of Na2AgAs for Cu Kα, from the PBE geometry in OQMD.
Kinematic intensities with the Lorentz-polarization factor, no thermal factor.

Most intense lines, 2θ = 10–80°, in order of falling intensity:
20.28 deg, intensity 100
35.75 deg, intensity 96
15.76 deg, intensity 88
38.21 deg, intensity 54
45.68 deg, intensity 53
40.47 deg, intensity 49

Structural model:
```
Na2AgAs
1.0
3.668 -4.378 0.000
3.668 4.378 0.000
0.000 0.000 5.613
Na Ag As
4 2 2
direct
0.031 0.673 0.996
0.327 0.969 0.504
0.673 0.031 0.004
0.969 0.327 0.496
0.500 0.500 0.250
0.500 0.500 0.750
0.208 0.208 0.000
0.792 0.792 0.500
```

---

# 5
Computed powder XRD pattern of DyHgSO for Cu Kα, from the PBE geometry in OQMD.
Kinematic intensities with the Lorentz-polarization factor, no thermal factor.

Most intense lines, 2θ = 10–80°, in order of falling intensity:
31.00 deg, intensity 100
30.38 deg, intensity 96
26.15 deg, intensity 73
32.64 deg, intensity 50
26.62 deg, intensity 48
20.72 deg, intensity 47

Structural model:
```
DyHgSO
1.0
5.611 0.000 0.000
0.000 5.616 0.000
-0.358 0.000 12.868
Dy Hg S O
4 4 4 4
direct
0.003 0.000 0.083
0.496 0.001 0.916
0.504 0.501 0.084
0.997 0.500 0.917
0.130 0.272 0.497
0.498 0.017 0.266
0.502 0.517 0.734
0.870 0.772 0.503
0.203 0.312 0.240
0.209 0.222 0.756
0.791 0.722 0.244
0.797 0.812 0.760
0.250 0.749 0.000
0.253 0.248 0.000
0.747 0.748 0.000
0.750 0.249 0.000
```

---

# 6
Computed powder XRD pattern of Fe7C3 for Cu Kα, from the PBE geometry in OQMD.
Kinematic intensities with the Lorentz-polarization factor, no thermal factor.

Most intense lines, 2θ = 10–80°, in order of falling intensity:
42.93 deg, intensity 100
45.58 deg, intensity 93
45.19 deg, intensity 85
40.30 deg, intensity 73
45.43 deg, intensity 72
40.72 deg, intensity 51

Structural model:
```
Fe7C3
1.0
4.512 0.000 0.000
0.000 6.847 0.000
0.000 0.000 11.721
Fe C
28 12
direct
0.062 0.064 0.192
0.062 0.436 0.192
0.080 0.250 0.372
0.206 0.750 0.301
0.227 0.750 0.088
0.249 0.566 0.485
0.249 0.934 0.485
0.251 0.066 0.985
0.251 0.434 0.985
0.273 0.250 0.588
0.294 0.250 0.801
0.420 0.750 0.872
0.438 0.564 0.692
0.438 0.936 0.692
0.562 0.064 0.308
0.562 0.436 0.308
0.580 0.250 0.128
0.706 0.750 0.199
0.727 0.750 0.412
0.749 0.566 0.015
0.749 0.934 0.015
0.751 0.066 0.515
0.751 0.434 0.515
0.773 0.250 0.912
0.794 0.250 0.699
0.920 0.750 0.628
0.938 0.564 0.808
0.938 0.936 0.808
0.031 0.750 0.938
0.041 0.026 0.647
0.041 0.474 0.647
0.459 0.526 0.147
0.459 0.974 0.147
0.469 0.250 0.438
0.531 0.750 0.562
0.541 0.026 0.853
0.541 0.474 0.853
0.959 0.526 0.353
0.959 0.974 0.353
0.969 0.250 0.062
```

---

# 7
Computed powder XRD pattern of ZnP4 for Cu Kα, from the PBE geometry in OQMD.
Kinematic intensities with the Lorentz-polarization factor, no thermal factor.

Most intense lines, 2θ = 10–80°, in order of falling intensity:
27.91 deg, intensity 100
31.15 deg, intensity 63
43.71 deg, intensity 39
40.59 deg, intensity 34
47.73 deg, intensity 24
51.81 deg, intensity 22

Structural model:
```
ZnP4
1.0
5.028 0.000 0.000
0.000 5.028 0.000
0.000 0.000 14.605
Zn P
4 16
direct
0.202 0.202 0.000
0.298 0.702 0.250
0.702 0.298 0.750
0.798 0.798 0.500
0.013 0.907 0.125
0.079 0.677 0.799
0.093 0.987 0.375
0.177 0.421 0.549
0.323 0.921 0.701
0.407 0.487 0.875
0.421 0.177 0.451
0.487 0.407 0.125
0.513 0.593 0.625
0.579 0.823 0.951
0.593 0.513 0.375
0.677 0.079 0.201
0.823 0.579 0.049
0.907 0.013 0.875
0.921 0.323 0.299
0.987 0.093 0.625
```

---

# 8
Computed powder XRD pattern of Ba2HgSb for Cu Kα, from the PBE geometry in OQMD.
Kinematic intensities with the Lorentz-polarization factor, no thermal factor.

Most intense lines, 2θ = 10–80°, in order of falling intensity:
30.36 deg, intensity 100
53.95 deg, intensity 40
43.48 deg, intensity 19
71.69 deg, intensity 17
63.17 deg, intensity 12
79.80 deg, intensity 4

Structural model:
```
Ba2HgSb
1.0
0.000 4.163 4.163
4.163 0.000 4.163
4.163 4.163 0.000
Ba Hg Sb
2 1 1
direct
0.000 0.000 0.000
0.250 0.250 0.250
0.500 0.500 0.500
0.750 0.750 0.750
```

---

# 9
Computed powder XRD pattern of HfScCdC for Cu Kα, from the PBE geometry in OQMD.
Kinematic intensities with the Lorentz-polarization factor, no thermal factor.

Most intense lines, 2θ = 10–80°, in order of falling intensity:
35.98 deg, intensity 100
35.02 deg, intensity 22
31.30 deg, intensity 21
55.71 deg, intensity 19
67.52 deg, intensity 19
63.45 deg, intensity 18

Structural model:
```
HfScCdC
1.0
3.300 0.000 0.000
-1.650 2.858 0.000
0.000 0.000 15.373
Hf Sc Cd C
2 2 2 2
direct
0.333 0.667 0.080
0.667 0.333 0.920
0.333 0.667 0.420
0.667 0.333 0.580
0.333 0.667 0.753
0.667 0.333 0.247
0.000 0.000 0.000
0.000 0.000 0.500
```

---

# 10
Computed powder XRD pattern of HoScCu2Ge2 for Cu Kα, from the PBE geometry in OQMD.
Kinematic intensities with the Lorentz-polarization factor, no thermal factor.

Most intense lines, 2θ = 10–80°, in order of falling intensity:
35.81 deg, intensity 100
42.94 deg, intensity 65
27.65 deg, intensity 36
57.11 deg, intensity 25
74.03 deg, intensity 23
70.54 deg, intensity 16

Structural model:
```
HoScCu2Ge2
1.0
4.213 0.000 0.000
-2.106 3.648 0.000
0.000 0.000 6.904
Ho Sc Cu Ge
1 1 2 2
direct
0.000 0.000 0.000
0.000 0.000 0.499
0.333 0.667 0.313
0.667 0.333 0.773
0.333 0.667 0.709
0.667 0.333 0.234
```

---

# 11
Computed powder XRD pattern of Cs2CuAgBr2Cl4 for Cu Kα, from the PBE geometry in OQMD.
Kinematic intensities with the Lorentz-polarization factor, no thermal factor.

Most intense lines, 2θ = 10–80°, in order of falling intensity:
24.60 deg, intensity 100
35.06 deg, intensity 97
23.42 deg, intensity 88
29.28 deg, intensity 81
47.89 deg, intensity 69
31.57 deg, intensity 62

Structural model:
```
Cs2CuAgBr2Cl4
1.0
-3.620 3.620 5.669
3.620 -3.620 5.669
3.620 3.620 -5.669
Cs Cu Ag Br Cl
2 1 1 2 4
direct
0.250 0.750 0.500
0.750 0.250 0.500
0.000 0.000 0.000
0.500 0.500 0.000
0.277 0.277 0.000
0.723 0.723 0.000
0.221 0.221 0.443
0.221 0.779 0.000
0.779 0.221 0.000
0.779 0.779 0.557
```

---

# 12
Computed powder XRD pattern of Hf3As2 for Cu Kα, from the PBE geometry in OQMD.
Kinematic intensities with the Lorentz-polarization factor, no thermal factor.

Most intense lines, 2θ = 10–80°, in order of falling intensity:
31.04 deg, intensity 100
36.19 deg, intensity 89
36.56 deg, intensity 87
39.80 deg, intensity 76
34.71 deg, intensity 49
35.29 deg, intensity 46

Structural model:
```
Hf3As2
1.0
10.511 0.000 0.000
0.000 3.666 0.000
0.000 0.000 10.117
Hf As
12 8
direct
0.045 0.250 0.125
0.126 0.750 0.568
0.213 0.250 0.794
0.287 0.750 0.294
0.374 0.250 0.068
0.455 0.750 0.625
0.545 0.250 0.375
0.626 0.750 0.932
0.713 0.250 0.706
0.787 0.750 0.206
0.874 0.250 0.432
0.955 0.750 0.875
0.032 0.750 0.322
0.195 0.750 0.999
0.305 0.250 0.499
0.468 0.250 0.822
0.532 0.750 0.178
0.695 0.750 0.501
0.805 0.250 0.001
0.968 0.250 0.678
```